Starting from DFT lattice parameters and positions (GGA-PBE), the XRD peak list of KSr2Ca was simulated for CuKα.

The 6 most intense peaks (15° ≤ 2θ ≤ 90°), in order of rising 2θ:
3.441 Å, 25.89 deg, I 25.5
3.353 Å, 26.59 deg, I 100.0
3.336 Å, 26.72 deg, I 25.1
2.395 Å, 37.55 deg, I 18.6
1.969 Å, 46.10 deg, I 19.2
1.929 Å, 47.11 deg, I 19.8

```
data_KSr2Ca
_symmetry_space_group_name_H-M 'P 1'
_symmetry_Int_Tables_number 1
_symmetry_space_group_name_Hall 'P 1'
_cell_length_a 4.0789
_cell_length_b 4.0789
_cell_length_c 13.7630
_cell_angle_alpha 90.00
_cell_angle_beta 90.00
_cell_angle_gamma 109.74
loop_
_atom_site_label
_atom_site_type_symbol
_atom_site_fract_x
_atom_site_fract_y
_atom_site_fract_z
_atom_site_occupancy
K1 K 0.0000 0.0000 0.0000 1
Sr1 Sr 0.0000 0.0000 0.5162 1
Sr2 Sr 0.5000 0.5000 0.2709 1
Ca1 Ca 0.5000 0.5000 0.7452 1
```

=====

Starting from DFT lattice parameters and positions (GGA-PBE), the XRD peak list of Ac4Cd3Ge5 was simulated for CuKα.

The 6 most intense peaks (15° ≤ 2θ ≤ 90°), in order of rising 2θ:
3.473 Å, 25.65 deg, I 100.0
3.355 Å, 26.56 deg, I 41.2
3.178 Å, 28.08 deg, I 72.2
2.614 Å, 34.30 deg, I 49.7
2.508 Å, 35.81 deg, I 32.2
2.409 Å, 37.32 deg, I 51.3

```
data_Ac4Cd3Ge5
_symmetry_space_group_name_H-M 'P 1'
_symmetry_Int_Tables_number 1
_symmetry_space_group_name_Hall 'P 1'
_cell_length_a 7.9605
_cell_length_b 7.9605
_cell_length_c 12.5311
_cell_angle_alpha 119.75
_cell_angle_beta 119.75
_cell_angle_gamma 35.23
loop_
_atom_site_label
_atom_site_type_symbol
_atom_site_fract_x
_atom_site_fract_y
_atom_site_fract_z
_atom_site_occupancy
Ac1 Ac 0.1059 0.1059 0.4416 1
Ac2 Ac 0.2541 0.2541 0.8201 1
Ac3 Ac 0.7459 0.7459 0.1799 1
Ac4 Ac 0.8941 0.8941 0.5584 1
Cd1 Cd 0.0000 0.0000 0.0000 1
Cd2 Cd 0.4006 0.4006 0.1366 1
Cd3 Cd 0.5994 0.5994 0.8634 1
Ge1 Ge 0.2624 0.2624 0.3578 1
Ge2 Ge 0.4338 0.4338 0.3767 1
Ge3 Ge 0.5000 0.5000 0.0000 1
Ge4 Ge 0.5662 0.5662 0.6233 1
Ge5 Ge 0.7376 0.7376 0.6422 1
```

=====

- Which formula does entry 2 have?
  Ac4Cd3Ge5